(1)
Starting from a DFT-relaxed cell (PBE, Alexandria), the powder XRD pattern of RbSb5Au4 was calculated for Cu Kα, 1.54184 Å.

Principal peaks in the range 5° ≤ 2θ ≤ 70°, sorted by position:
Position (°2θ)  I/Imax
12.1  47
21.8  81
25.8  75
26.2  29
27.1  100
27.9  59
36.2  25
37.8  69
42.7  40
43.5  61
44.5  43
49.9  24

Crystal structure
```
RbSb5Au4
1.0
8.660 0.000 0.000
0.000 13.831 0.000
0.000 0.000 5.046
Rb Sb Au
2 10 8
Direct
0.250 0.250 0.150
0.750 0.750 0.850
0.004 0.567 0.278
0.004 0.933 0.278
0.250 0.750 0.877
0.496 0.567 0.278
0.496 0.933 0.278
0.504 0.067 0.722
0.504 0.433 0.722
0.750 0.250 0.123
0.996 0.067 0.722
0.996 0.433 0.722
0.074 0.750 0.422
0.250 0.503 0.988
0.250 0.997 0.988
0.426 0.750 0.422
0.574 0.250 0.578
0.750 0.003 0.012
0.750 0.497 0.012
0.926 0.250 0.578
```

---

(2)
Starting from a DFT-relaxed cell (PBE, Alexandria), the powder XRD pattern of Rb2Sb2Au5 was calculated for Cu Kα, 1.54184 Å.

Principal peaks in the range 5° ≤ 2θ ≤ 70°, sorted by position:
Position (°2θ)  I/Imax
9.5  70
15.4  100
20.1  57
27.6  60
28.0  44
30.7  31
31.1  68
38.7  55
38.9  46
39.9  40
43.7  28
50.6  35

Crystal structure
```
Rb2Sb2Au5
1.0
7.574 -2.315 0.000
7.574 2.315 0.000
-0.389 0.000 9.311
Rb Sb Au
2 2 5
Direct
0.096 0.096 0.225
0.904 0.904 0.775
0.352 0.352 0.338
0.648 0.648 0.662
0.217 0.217 0.567
0.439 0.439 0.096
0.500 0.500 0.500
0.561 0.561 0.904
0.783 0.783 0.433
```